(1)
MgTiV4FeO12: calculated powder X-ray diffraction pattern (a wavelength of 1.5418 Å), based on a PBE+U-relaxed structure.

Structure:
Unit cell a=6.9067 b=6.9067 c=5.8139 alpha=106.32 beta=106.32 gamma=76.84
Element x y z (fractional)
Mg (0.0000, 0.0000, 0.0000)
Ti (0.3758, 0.6242, 0.0000)
V (0.1073, 0.3319, 0.5391)
V (0.4640, 0.0891, 0.9377)
V (0.6681, 0.8927, 0.4609)
V (0.9109, 0.5360, 0.0623)
Fe (0.1999, 0.8001, 0.5000)
O (0.0893, 0.7341, 0.1096)
O (0.2536, 0.5284, 0.6296)
O (0.2659, 0.9107, 0.8904)
O (0.2739, 0.1058, 0.5706)
O (0.3757, 0.3712, 0.0334)
O (0.4716, 0.7464, 0.3704)
O (0.6290, 0.0591, 0.2763)
O (0.6288, 0.6243, 0.9666)
O (0.7092, 0.0104, 0.7894)
O (0.8942, 0.7261, 0.4294)
O (0.9409, 0.3710, 0.7237)
O (0.9896, 0.2908, 0.2106)

Main lines, in order of falling intensity (5 to 70 degrees two-theta):
- 3.140 Å, 28.42°, I = 100
- 6.541 Å, 13.54°, I = 31
- 2.554 Å, 35.14°, I = 30
- 4.754 Å, 18.66°, I = 29
- 2.714 Å, 33.01°, I = 22
- 2.323 Å, 38.77°, I = 20
- 1.726 Å, 53.05°, I = 17
- 4.292 Å, 20.70°, I = 12
- 1.585 Å, 58.22°, I = 11
- 1.946 Å, 46.68°, I = 10

***

(2)
MgTiV4FeO12: calculated powder X-ray diffraction pattern (a wavelength of 1.5418 Å), based on a PBE+U-relaxed structure.

Structure:
Unit cell a=7.1556 b=7.1556 c=5.4616 alpha=108.19 beta=108.19 gamma=76.06
Element x y z (fractional)
Mg (0.0000, 0.0000, 0.0000)
Ti (0.8004, 0.1996, 0.5000)
V (0.1010, 0.4763, 0.0064)
V (0.3311, 0.1199, 0.5339)
V (0.5237, 0.8990, 0.9936)
V (0.8801, 0.6689, 0.4661)
Fe (0.6142, 0.3858, 0.0000)
O (0.0186, 0.6810, 0.8679)
O (0.0515, 0.1389, 0.4014)
O (0.1254, 0.5630, 0.3459)
O (0.3159, 0.3355, 0.9158)
O (0.3190, 0.9814, 0.1321)
O (0.4370, 0.8746, 0.6541)
O (0.5503, 0.2539, 0.5945)
O (0.6645, 0.6841, 0.0842)
O (0.6921, 0.0737, 0.1047)
O (0.7461, 0.4497, 0.4055)
O (0.8611, 0.9485, 0.5986)
O (0.9263, 0.3079, 0.8953)

Main lines, in order of falling intensity (5 to 70 degrees two-theta):
- 3.194 Å, 27.93°, I = 100
- 2.507 Å, 35.82°, I = 48
- 3.213 Å, 27.77°, I = 41
- 6.712 Å, 13.19°, I = 29
- 1.789 Å, 51.06°, I = 23
- 1.678 Å, 54.70°, I = 21
- 4.628 Å, 19.18°, I = 15
- 3.313 Å, 26.91°, I = 12
- 4.408 Å, 20.14°, I = 10
- 2.173 Å, 41.56°, I = 10

***

(3)
TmMgFe2O4: calculated powder X-ray diffraction pattern (a wavelength of 1.5418 Å), based on a PBE+U-relaxed structure.

Structure:
Unit cell a=3.4328 b=3.4328 c=11.2284 alpha=103.74 beta=103.74 gamma=55.68
Element x y z (fractional)
Tm (0.0000, 0.0000, 0.0000)
Mg (0.3860, 0.3860, 0.2593)
Fe (0.1942, 0.1942, 0.7095)
Fe (0.7486, 0.7486, 0.4845)
O (0.1151, 0.1151, 0.3359)
O (0.2781, 0.2781, 0.9074)
O (0.7289, 0.7289, 0.1175)
O (0.8603, 0.8603, 0.6684)

Main lines, in order of falling intensity (5 to 70 degrees two-theta):
- 10.816 Å, 8.17°, I = 100
- 2.639 Å, 33.98°, I = 53
- 2.647 Å, 33.87°, I = 50
- 2.811 Å, 31.83°, I = 46
- 2.371 Å, 37.94°, I = 42
- 5.408 Å, 16.39°, I = 42
- 2.090 Å, 43.30°, I = 33
- 1.706 Å, 53.73°, I = 28
- 3.605 Å, 24.69°, I = 27
- 2.704 Å, 33.13°, I = 24

***

(4)
TmMgFe2O4: calculated powder X-ray diffraction pattern (a wavelength of 1.5418 Å), based on a PBE+U-relaxed structure.

Structure:
Unit cell a=11.0142 b=11.0142 c=11.0142 alpha=17.14 beta=17.14 gamma=17.14
Element x y z (fractional)
Tm (0.0000, 0.0000, 0.0000)
Mg (0.5000, 0.5000, 0.5000)
Fe (0.2368, 0.2368, 0.2368)
Fe (0.7632, 0.7632, 0.7632)
O (0.1317, 0.1317, 0.1317)
O (0.2984, 0.2984, 0.2984)
O (0.7016, 0.7016, 0.7016)
O (0.8683, 0.8683, 0.8683)

Main lines, in order of falling intensity (5 to 70 degrees two-theta):
- 10.850 Å, 8.15°, I = 100
- 2.684 Å, 33.39°, I = 82
- 2.330 Å, 38.64°, I = 58
- 3.617 Å, 24.62°, I = 37
- 2.832 Å, 31.59°, I = 32
- 1.641 Å, 56.03°, I = 30
- 1.879 Å, 48.45°, I = 24
- 5.425 Å, 16.34°, I = 21
- 2.605 Å, 34.42°, I = 18
- 1.588 Å, 58.08°, I = 16